Computed powder diffraction line list of Cs2KHfH6 for λ = 1.5418 Å (Cu Kα), from a cell relaxed with GGA-PBE.

Atomic structure:
a = 6.575 Å, b = 9.300 Å, c = 6.575 Å
α = 90.00°, β = 90.00°, γ = 90.00°
Space group Pmmn (No. 59, origin choice 2)
Asymmetric unit:
Cs 0.250 0.000 0.250
K 0.250 0.250 0.750
Hf 0.250 0.750 0.749
H 0.033 0.750 0.963
H 0.036 0.750 0.533
H 0.250 0.535 0.751

Principal peaks in the range 2θ from 10° to 90°, by angle:
2θ/deg	I/Imax	(hkl)
16.5	173	1 1 0
27.1	1000	2 0 0
31.9	104	0 3 1
38.7	199	2 0 2
42.4	49	2 3 1
47.9	413	3 2 1
55.9	133	4 0 0
63.2	181	4 0 2
76.7	208	5 2 1
89.4	110	6 0 0